Diffraction record for Na2TaF6. The powder X-ray diffraction pattern is theoretical, not measured: it uses DFT lattice parameters and positions (GGA-PBE) and Cu Kα.

Crystal structure
```
data_Na2TaF6
_cell_length_a 5.0483
_cell_length_b 5.0483
_cell_length_c 10.6059
_cell_angle_alpha 90.00
_cell_angle_beta 90.00
_cell_angle_gamma 90.00
_symmetry_space_group_name_H-M 'P 42/m n m'
_symmetry_Int_Tables_number 136
_symmetry_space_group_name_Hall '-P 4n 2n'
loop_
_atom_site_label
_atom_site_fract_x
_atom_site_fract_y
_atom_site_fract_z
Na1 0.0000 0.0000 0.1671
Ta1 0.0000 0.0000 0.5000
F1 0.1801 0.1801 0.3513
F2 0.2263 0.2263 0.0000
```

Top 12 peaks for 10 to 80 degrees two-theta, by angle:
| 2θ (°) | d/Å | Rel. int. |
| --- | --- | --- |
| 16.7 | 5.303 | 36.3 |
| 19.5 | 4.558 | 100.0 |
| 24.9 | 3.570 | 58.4 |
| 30.2 | 2.961 | 27.1 |
| 30.9 | 2.896 | 40.8 |
| 39.5 | 2.279 | 10.2 |
| 40.9 | 2.208 | 23.3 |
| 42.5 | 2.129 | 10.0 |
| 47.8 | 1.903 | 42.8 |
| 51.2 | 1.785 | 11.5 |
| 58.2 | 1.584 | 10.5 |
| 61.0 | 1.519 | 14.7 |


Diffraction record for Na3TaF8. The powder X-ray diffraction pattern is theoretical, not measured: it uses DFT lattice parameters and positions (GGA-PBE) and Cu Kα.

Crystal structure
```
data_Na3TaF8
_cell_length_a 11.7322
_cell_length_b 5.4405
_cell_length_c 11.3314
_cell_angle_alpha 90.00
_cell_angle_beta 121.03
_cell_angle_gamma 90.00
_symmetry_space_group_name_H-M 'C 1 2/c 1'
_symmetry_Int_Tables_number 15
_symmetry_space_group_name_Hall '-C 2yc'
loop_
_atom_site_label
_atom_site_fract_x
_atom_site_fract_y
_atom_site_fract_z
Na1 0.0000 0.0000 0.0000
Na2 0.2184 0.4937 0.1029
Ta1 0.0000 0.4371 0.2500
F1 0.0167 0.3578 0.6111
F2 0.1081 0.2169 0.4165
F3 0.1307 0.2405 0.2145
F4 0.1712 0.3755 0.8603
```

Top 12 peaks for 10 to 80 degrees two-theta, by angle:
| 2θ (°) | d/Å | Rel. int. |
| --- | --- | --- |
| 17.7 | 5.021 | 88.2 |
| 18.3 | 4.855 | 32.0 |
| 18.5 | 4.784 | 100.0 |
| 22.7 | 3.924 | 50.1 |
| 28.5 | 3.133 | 43.6 |
| 29.2 | 3.054 | 41.0 |
| 31.6 | 2.833 | 16.3 |
| 37.2 | 2.418 | 16.2 |
| 41.0 | 2.200 | 13.0 |
| 46.3 | 1.962 | 22.3 |
| 46.5 | 1.954 | 13.1 |
| 49.4 | 1.845 | 21.0 |


Diffraction record for NaTaF5. The powder X-ray diffraction pattern is theoretical, not measured: it uses DFT lattice parameters and positions (GGA-PBE) and Cu Kα.

Crystal structure
```
data_NaTaF5
_cell_length_a 9.2470
_cell_length_b 6.8702
_cell_length_c 8.1221
_cell_angle_alpha 90.00
_cell_angle_beta 114.83
_cell_angle_gamma 90.00
_symmetry_space_group_name_H-M 'C 1 2/c 1'
_symmetry_Int_Tables_number 15
_symmetry_space_group_name_Hall '-C 2yc'
loop_
_atom_site_label
_atom_site_fract_x
_atom_site_fract_y
_atom_site_fract_z
Na1 0.0000 0.9998 0.2500
Ta1 0.0000 0.5000 0.0000
F1 0.0000 0.4969 0.2500
F2 0.0023 0.2116 0.9988
F3 0.2342 0.4963 0.6154
```

Top 12 peaks for 10 to 80 degrees two-theta, by angle:
| 2θ (°) | d/Å | Rel. int. |
| --- | --- | --- |
| 16.7 | 5.316 | 100.0 |
| 21.2 | 4.196 | 51.8 |
| 24.1 | 3.686 | 23.9 |
| 24.6 | 3.625 | 22.5 |
| 25.5 | 3.495 | 59.7 |
| 25.9 | 3.435 | 32.6 |
| 33.7 | 2.660 | 25.4 |
| 34.6 | 2.591 | 13.8 |
| 40.8 | 2.209 | 15.4 |
| 43.1 | 2.098 | 13.9 |
| 45.5 | 1.995 | 16.7 |
| 50.3 | 1.813 | 14.0 |


Diffraction record for Na2TcF7. The powder X-ray diffraction pattern is theoretical, not measured: it uses DFT lattice parameters and positions (GGA-PBE) and Cu Kα.

Crystal structure
```
data_Na2TcF7
_cell_length_a 12.6689
_cell_length_b 6.2517
_cell_length_c 8.8493
_cell_angle_alpha 90.00
_cell_angle_beta 128.19
_cell_angle_gamma 90.00
_symmetry_space_group_name_H-M 'C 1 2/c 1'
_symmetry_Int_Tables_number 15
_symmetry_space_group_name_Hall '-C 2yc'
loop_
_atom_site_label
_atom_site_fract_x
_atom_site_fract_y
_atom_site_fract_z
Na1 0.1930 0.0825 0.2891
Tc1 0.0000 0.3678 0.7500
F1 0.0000 0.0532 0.7500
F2 0.0901 0.3239 0.0230
F3 0.1195 0.3804 0.3707
F4 0.1586 0.2936 0.7692
```

Top 12 peaks for 10 to 80 degrees two-theta, by angle:
| 2θ (°) | d/Å | Rel. int. |
| --- | --- | --- |
| 16.7 | 5.295 | 100.0 |
| 17.4 | 5.097 | 97.3 |
| 17.8 | 4.979 | 55.8 |
| 20.2 | 4.402 | 65.6 |
| 24.2 | 3.671 | 33.5 |
| 25.6 | 3.478 | 88.4 |
| 25.7 | 3.461 | 60.3 |
| 27.0 | 3.298 | 52.2 |
| 31.4 | 2.851 | 46.9 |
| 44.4 | 2.040 | 31.0 |
| 48.9 | 1.863 | 56.6 |
| 52.6 | 1.739 | 48.4 |